[1]
RbInHgI2: theoretical X-ray diffraction stick pattern (a wavelength of 1.5418 Å), based on a crystal structure in Alexandria, relaxed with GGA-PBE.
Intensities are scaled so that the largest is 100.

Cell: 13.2706 5.0021 13.3133 Å, 90.00 91.84 90.00°
Space group C2/m (No. 12)
Symmetry-distinct sites (fractional):
Rb 0.1336 0.0000 0.3654 x4
In 0.1497 0.5000 0.8319 x4
Hg 0.1240 0.0000 0.9803 x4
I 0.0842 0.5000 0.1699 x4
I 0.1463 0.0000 0.6418 x4

Peak list (6 most intense, 10 to 90 degrees two-theta, by angle)
hkl 4 0 0, 26.9 deg, intensity 57; hkl 1 1 -3, 27.5 deg, intensity 46; hkl 1 1 3, 27.9 deg, intensity 100; hkl 3 1 -3, 33.4 deg, intensity 40; hkl 0 2 0, 35.9 deg, intensity 36; hkl 4 2 0, 45.4 deg, intensity 29

=====

[2]
As2Pb3Cl: theoretical X-ray diffraction stick pattern (a wavelength of 1.5418 Å), based on a crystal structure in Alexandria, relaxed with GGA-PBE.
Intensities are scaled so that the largest is 100.

Cell: 7.5155 4.2778 11.3124 Å, 90.00 103.98 90.00°
Space group P2_1/m (No. 11)
Symmetry-distinct sites (fractional):
As 0.0164 0.2500 0.3294 x2
As 0.2525 0.2500 0.0044 x2
Pb 0.1241 0.7500 0.1541 x2
Pb 0.2095 0.7500 0.4897 x2
Pb 0.3501 0.7500 0.8543 x2
Cl 0.4740 0.2500 0.6677 x2

Peak list (6 most intense, 10 to 90 degrees two-theta, by angle)
hkl 1 1 0, 24.1 deg, intensity 75; hkl 0 0 3, 24.3 deg, intensity 42; hkl 1 1 -3, 32.3 deg, intensity 100; hkl 2 0 2, 32.6 deg, intensity 44; hkl 1 1 3, 36.6 deg, intensity 36; hkl 3 1 -1, 41.8 deg, intensity 60

=====

[3]
LiScHgAu: theoretical X-ray diffraction stick pattern (a wavelength of 1.5418 Å), based on a crystal structure in Alexandria, relaxed with GGA-PBE.
Intensities are scaled so that the largest is 100.

Cell: 3.3553 3.3553 6.7007 Å, 90.00 90.00 90.00°
Space group P4mm (No. 99)
Symmetry-distinct sites (fractional):
Li 0.0000 0.0000 0.0000 x1
Sc 0.0000 0.0000 0.4712 x1
Hg 0.5000 0.5000 0.7641 x1
Au 0.5000 0.5000 0.2313 x1

Peak list (6 most intense, 10 to 90 degrees two-theta, by angle)
hkl 1 0 0, 26.6 deg, intensity 76; hkl 1 1 0, 37.9 deg, intensity 100; hkl 1 1 2, 46.9 deg, intensity 23; hkl 2 0 0, 54.7 deg, intensity 17; hkl 2 1 0, 61.9 deg, intensity 30; hkl 2 1 2, 68.5 deg, intensity 33

=====

[4]
Hg3S2F: theoretical X-ray diffraction stick pattern (a wavelength of 1.5418 Å), based on a crystal structure in Alexandria, relaxed with GGA-PBE.
Intensities are scaled so that the largest is 100.

Cell: 4.3027 12.4386 5.8356 Å, 90.00 90.00 90.00°
Space group Imm2 (No. 44)
Symmetry-distinct sites (fractional):
Hg 0.0000 0.0000 0.0000 x2
Hg 0.0000 0.3217 0.0537 x4
S 0.0000 0.1577 0.3226 x4
F 0.0000 0.5000 0.2724 x2

Peak list (6 most intense, 10 to 90 degrees two-theta, by angle)
hkl 1 0 1, 25.7 deg, intensity 100; hkl 0 3 1, 26.4 deg, intensity 100; hkl 1 3 0, 29.9 deg, intensity 51; hkl 1 3 2, 43.4 deg, intensity 60; hkl 2 3 1, 50.3 deg, intensity 35; hkl 1 6 1, 51.4 deg, intensity 28

=====

[5]
Si2H13: theoretical X-ray diffraction stick pattern (a wavelength of 1.5418 Å), based on a crystal structure in Alexandria, relaxed with GGA-PBE.
Intensities are scaled so that the largest is 100.

Cell: 4.8826 5.2640 6.6864 Å, 99.50 90.79 117.43°
Space group P-1 (No. 2)
Symmetry-distinct sites (fractional):
Si 0.1659 0.3343 0.1710 x2
H 0.0000 0.0000 0.0000 x1
H 0.0463 0.2223 0.6828 x2
H 0.0860 0.6662 0.7050 x2
H 0.1482 0.1553 0.6482 x2
H 0.3000 0.6027 0.0789 x2
H 0.4142 0.3342 0.3030 x2
H 0.4802 0.9413 0.5308 x2

Peak list (6 most intense, 10 to 90 degrees two-theta, by angle)
hkl 0 0 1, 13.5 deg, intensity 60; hkl 1 0 0, 20.6 deg, intensity 80; hkl 1 0 -1, 23.5 deg, intensity 96; hkl 1 -1 1, 23.8 deg, intensity 91; hkl 0 1 1, 25.8 deg, intensity 100; hkl 1 1 0, 34.6 deg, intensity 63

=====

[6]
BaLiSnBiO6: theoretical X-ray diffraction stick pattern (a wavelength of 1.5418 Å), based on a crystal structure in Alexandria, relaxed with GGA-PBE.
Intensities are scaled so that the largest is 100.

Cell: 8.3956 8.3956 8.3956 Å, 90.00 90.00 90.00°
Space group F-43m (No. 216)
Symmetry-distinct sites (fractional):
Ba 0.0000 0.0000 0.0000 x4
Li 0.0000 0.0000 0.5000 x4
Sn 0.2500 0.2500 0.2500 x4
Bi 0.2500 0.2500 0.7500 x4
O 0.0033 0.2500 0.2500 x24

Peak list (6 most intense, 10 to 90 degrees two-theta, by angle)
hkl 1 1 1, 18.3 deg, intensity 27; hkl 2 0 0, 21.2 deg, intensity 32; hkl 2 2 0, 30.1 deg, intensity 100; hkl 4 0 0, 43.1 deg, intensity 32; hkl 4 2 2, 53.5 deg, intensity 42; hkl 6 4 2, 86.8 deg, intensity 24

=====

What did the first record say?
RbInHgI2: theoretical X-ray diffraction stick pattern (a wavelength of 1.5418 Å), based on a crystal structure in Alexandria, relaxed with GGA-PBE.
Intensities are scaled so that the largest is 100.

Cell: 13.2706 5.0021 13.3133 Å, 90.00 91.84 90.00°
Space group C2/m (No. 12)
Symmetry-distinct sites (fractional):
Rb 0.1336 0.0000 0.3654 x4
In 0.1497 0.5000 0.8319 x4
Hg 0.1240 0.0000 0.9803 x4
I 0.0842 0.5000 0.1699 x4
I 0.1463 0.0000 0.6418 x4

Peak list (6 most intense, 10 to 90 degrees two-theta, by angle)
hkl 4 0 0, 26.9 deg, intensity 57; hkl 1 1 -3, 27.5 deg, intensity 46; hkl 1 1 3, 27.9 deg, intensity 100; hkl 3 1 -3, 33.4 deg, intensity 40; hkl 0 2 0, 35.9 deg, intensity 36; hkl 4 2 0, 45.4 deg, intensity 29